Diffraction record for Sc5Os. The powder diffractogram is simulated, not measured: it uses a PBE-relaxed structure and Cu Ka.

Main lines, in order of rising 2θ (15 to 90 degrees two-theta):
(2 0 0), d = 5.216 Å, 17.00 deg, I 100; (2 0 -2), d = 3.636 Å, 24.48 deg, I 17; (1 1 0), d = 3.163 Å, 28.21 deg, I 17; (4 0 -2), d = 2.616 Å, 34.27 deg, I 41; (2 0 2), d = 2.530 Å, 35.48 deg, I 47; (1 1 -2), d = 2.510 Å, 35.78 deg, I 87; (3 1 -1), d = 2.475 Å, 36.30 deg, I 23; (3 1 0), d = 2.399 Å, 37.49 deg, I 82; (1 1 -3), d = 2.010 Å, 45.10 deg, I 21; (4 2 -2), d = 1.402 Å, 66.73 deg, I 17

Cell and atoms:
a = 11.2186 Å, b = 3.3205 Å, c = 7.6696 Å
α = 90.00°, β = 111.90°, γ = 90.00°
Space group C2/m (No. 12)
Symmetry-distinct sites (fractional):
1 Sc 0.0000 0.0000 0.0000 [2 per cell]
2 Sc 0.1374 0.5000 0.3639 [4 per cell]
3 Sc 0.1616 0.5000 0.7856 [4 per cell]
4 Os 0.0000 0.0000 0.5000 [2 per cell]

***

Diffraction record for Li2YTeS4. The powder diffractogram is simulated, not measured: it uses a PBE-relaxed structure and Cu Ka.

Main lines, in order of rising 2θ (15 to 90 degrees two-theta):
(1 1 1), d = 3.568 Å, 24.96 deg, I 60; (1 3 0), d = 3.269 Å, 27.28 deg, I 41; (0 0 2), d = 2.956 Å, 30.23 deg, I 100; (4 0 -2), d = 2.730 Å, 32.81 deg, I 85; (0 4 0), d = 2.665 Å, 33.63 deg, I 80; (4 0 0), d = 2.073 Å, 43.66 deg, I 32; (0 4 2), d = 1.979 Å, 45.84 deg, I 59; (4 0 -4), d = 1.944 Å, 46.72 deg, I 29; (4 4 -2), d = 1.907 Å, 47.69 deg, I 56; (4 4 0), d = 1.637 Å, 56.21 deg, I 33

Cell and atoms:
a = 10.9415 Å, b = 10.6604 Å, c = 7.8014 Å
α = 90.00°, β = 130.72°, γ = 90.00°
Space group C2/c (No. 15)
Symmetry-distinct sites (fractional):
1 Li 0.0000 0.0000 0.0000 [4 per cell]
2 Li 0.2500 0.2500 0.0000 [4 per cell]
3 Y 0.0000 0.5000 0.0000 [4 per cell]
4 Te 0.2500 0.2500 0.5000 [4 per cell]
5 S 0.0310 0.2443 0.5406 [8 per cell]
6 S 0.2358 0.5001 0.4695 [8 per cell]